Record 1
This entry pairs a crystal structure of Ac2Al3Ge4 with its calculated powder diffraction line list. Radiation: Cu Kα. Structure: the GGA-PBE geometry in Alexandria.

Most intense lines, 2θ = 15–90°, low angle first:
18.58 deg, I = 679, hkl 1 1 1
22.83 deg, I = 250, hkl 0 4 0
28.01 deg, I = 268, hkl 2 0 0
31.26 deg, I = 623, hkl 1 3 2
32.30 deg, I = 596, hkl 2 2 1
33.87 deg, I = 1000, hkl 1 5 1
35.03 deg, I = 707, hkl 0 2 3
35.80 deg, I = 536, hkl 2 0 2
36.44 deg, I = 368, hkl 2 4 0
45.44 deg, I = 286, hkl 2 2 3
48.77 deg, I = 332, hkl 1 7 2
53.42 deg, I = 349, hkl 3 5 1

```
data_Ac2Al3Ge4
_space_group_name_H-M_alt 'C m c e'
_space_group_IT_number 64
_space_group_name_Hall '-C 2ac 2'
_cell_length_a 6.370
_cell_length_b 15.579
_cell_length_c 8.137
_cell_angle_alpha 90.00
_cell_angle_beta 90.00
_cell_angle_gamma 90.00
loop_
_atom_site_label
_atom_site_type_symbol
_atom_site_fract_x
_atom_site_fract_y
_atom_site_fract_z
Ac1 Ac 0.000 0.113 0.086
Al1 Al 0.000 0.000 0.500
Al2 Al 0.250 0.215 0.750
Ge1 Ge 0.000 0.188 0.452
Ge2 Ge 0.250 0.051 0.750
```



Record 2
This entry pairs a crystal structure of Ac3Sb2Pd7 with its calculated powder diffraction line list. Radiation: Cu Kα. Structure: the GGA-PBE geometry in Alexandria.

Most intense lines, 2θ = 15–90°, low angle first:
25.41 deg, I = 323, hkl 1 0 5
28.53 deg, I = 447, hkl 1 1 0
29.21 deg, I = 202, hkl 1 1 2
34.24 deg, I = 1000, hkl 1 1 6
34.65 deg, I = 393, hkl 1 0 9
38.15 deg, I = 220, hkl 1 1 8
40.09 deg, I = 404, hkl 1 0 11
40.78 deg, I = 755, hkl 2 0 0
54.56 deg, I = 213, hkl 2 1 9
58.52 deg, I = 303, hkl 2 1 11
59.05 deg, I = 254, hkl 2 2 0
70.06 deg, I = 253, hkl 3 1 6

```
data_Ac3Sb2Pd7
_space_group_name_H-M_alt 'I 4/m m m'
_space_group_IT_number 139
_space_group_name_Hall '-I 4 2'
_cell_length_a 4.425
_cell_length_b 4.425
_cell_length_c 28.724
_cell_angle_alpha 90.00
_cell_angle_beta 90.00
_cell_angle_gamma 90.00
loop_
_atom_site_label
_atom_site_type_symbol
_atom_site_fract_x
_atom_site_fract_y
_atom_site_fract_z
Ac1 Ac 0.000 0.000 0.000
Ac2 Ac 0.000 0.000 0.175
Sb1 Sb 0.000 0.000 0.376
Pd1 Pd 0.000 0.000 0.281
Pd2 Pd 0.000 0.000 0.500
Pd3 Pd 0.000 0.500 0.074
```



Record 3
This entry pairs a crystal structure of Nd2Sm2HoEr with its calculated powder diffraction line list. Radiation: Cu Kα. Structure: the GGA-PBE geometry in Alexandria.

Most intense lines, 2θ = 15–90°, low angle first:
31.16 deg, I = 922, hkl 2 1 1
31.44 deg, I = 1000, hkl 0 2 0
40.72 deg, I = 102, hkl 2 2 0
44.85 deg, I = 337, hkl 2 2 2
51.78 deg, I = 83, hkl 4 0 0
55.80 deg, I = 352, hkl 2 3 1
55.98 deg, I = 193, hkl 0 3 3
61.84 deg, I = 290, hkl 4 2 0
65.63 deg, I = 119, hkl 0 4 0
74.43 deg, I = 148, hkl 2 4 2
79.73 deg, I = 138, hkl 4 3 3
88.20 deg, I = 110, hkl 4 4 0

```
data_Nd2Sm2HoEr
_space_group_name_H-M_alt 'P m m a'
_space_group_IT_number 51
_space_group_name_Hall '-P 2a 2a'
_cell_length_a 7.063
_cell_length_b 5.688
_cell_length_c 9.861
_cell_angle_alpha 90.00
_cell_angle_beta 90.00
_cell_angle_gamma 90.00
loop_
_atom_site_label
_atom_site_type_symbol
_atom_site_fract_x
_atom_site_fract_y
_atom_site_fract_z
Nd1 Nd 0.000 0.000 0.000
Nd2 Nd 0.250 0.500 0.177
Sm1 Sm 0.250 0.000 0.332
Sm2 Sm 0.250 0.500 0.837
Ho1 Ho 0.250 0.000 0.659
Er1 Er 0.000 0.500 0.500
```